For CdPH6CCl3, the GGA-PBE geometry in Alexandria gives the calculated X-ray diffraction stick pattern in this record (copper Kα).

Principal peaks in the range 2θ = 10–90°, low angle first:
- d = 7.472 Å, I = 100.0, hkl 0 0 2
- d = 7.009 Å, I = 35.5, hkl 0 1 1
- d = 4.137 Å, I = 10.8, hkl 0 1 3
- d = 4.124 Å, I = 10.5, hkl 0 2 0
- d = 3.230 Å, I = 8.7, hkl -1 2 2
- d = 2.994 Å, I = 8.9, hkl 1 2 2

Crystal structure
```
data_CdPH6CCl3
_cell_length_a 6.7585
_cell_length_b 8.2865
_cell_length_c 15.0443
_cell_angle_alpha 93.96
_cell_angle_beta 93.82
_cell_angle_gamma 93.66
_symmetry_space_group_name_H-M 'P 1'
_symmetry_Int_Tables_number 1
loop_
_symmetry_equiv_pos_as_xyz
'x,y,z'
loop_
_atom_site_label
_atom_site_type_symbol
_atom_site_fract_x
_atom_site_fract_y
_atom_site_fract_z
Cd1 Cd 0.0000 0.0000 0.0000
Cd2 Cd 0.0370 0.4990 0.5008
Cd3 Cd 0.4988 0.9955 0.0009
Cd4 Cd 0.5400 0.4978 0.5020
P1 P 0.2772 0.5572 0.7798
P2 P 0.2926 0.0559 0.2777
P3 P 0.7326 0.5522 0.1106
P4 P 0.7557 0.0523 0.6108
H1 H 0.0468 0.4144 0.8653
H2 H 0.1172 0.0141 0.2228
H3 H 0.1529 0.6786 0.7562
H4 H 0.1724 0.9720 0.4143
H5 H 0.2098 0.5598 0.9336
H6 H 0.2779 0.4415 0.7059
H7 H 0.2896 0.8123 0.3557
H8 H 0.2968 0.2243 0.3028
H9 H 0.2975 0.3694 0.8935
H10 H 0.4378 0.9779 0.4152
H11 H 0.4571 0.0265 0.2275
H12 H 0.4710 0.6313 0.7967
H13 H 0.5638 0.6431 0.1024
H14 H 0.5846 0.1378 0.5942
H15 H 0.6086 0.3802 0.2177
H16 H 0.6193 0.8754 0.7119
H17 H 0.7232 0.4326 0.0382
H18 H 0.7355 0.0578 0.7699
H19 H 0.7568 0.5520 0.2708
H20 H 0.7652 0.9305 0.5404
H21 H 0.8737 0.3854 0.2184
H22 H 0.8848 0.9017 0.7293
H23 H 0.9038 0.6562 0.1046
H24 H 0.9242 0.1610 0.6098
C1 C 0.2005 0.4664 0.8777
C2 C 0.2983 0.9429 0.3752
C3 C 0.7443 0.4588 0.2148
C4 C 0.7484 0.9634 0.7160
Cl1 Cl 0.2273 0.9798 0.8655
Cl2 Cl 0.2436 0.7854 0.0743
Cl3 Cl 0.2656 0.4922 0.3654
Cl4 Cl 0.2757 0.2792 0.5674
Cl5 Cl 0.2824 0.2172 0.0793
Cl6 Cl 0.3266 0.7136 0.5817
Cl7 Cl 0.7203 0.7664 0.9340
Cl8 Cl 0.7518 0.2055 0.9336
Cl9 Cl 0.7519 0.2681 0.4323
Cl10 Cl 0.7736 0.0046 0.1409
Cl11 Cl 0.7967 0.7076 0.4351
Cl12 Cl 0.8153 0.5025 0.6414
```